# ErPaNb
Theoretical X-ray powder pattern, Cu Kα. Input: a GGA-PBE-relaxed structure.
Neutral-atom scattering factors, no anomalous dispersion.

The 6 most intense peaks (2θ from 5° to 70°), most intense first:
- 35.3 deg, d 2.540, intensity 100, (1 0 7)
- 37.0 deg, d 2.430, intensity 49, (1 1 0)
- 27.9 deg, d 3.201, intensity 40, (1 0 3)
- 65.6 deg, d 1.423, intensity 34, (2 1 7)
- 53.3 deg, d 1.718, intensity 17, (2 0 0)
- 13.4 deg, d 6.602, intensity 17, (0 0 4)

Atomic structure:
Unit cell a=3.4359 b=3.4359 c=26.4084 alpha=90.00 beta=90.00 gamma=90.00
Space group I4/mmm (No. 139)
Symmetry-distinct sites (fractional):
Er (0.0000, 0.0000, 0.0669) x4
Pa (0.0000, 0.0000, 0.3474) x4
Nb (0.0000, 0.0000, 0.2192) x4


# Tb4CeSb5
Theoretical X-ray powder pattern, Cu Kα. Input: a GGA-PBE-relaxed structure.
Neutral-atom scattering factors, no anomalous dispersion.

The 6 most intense peaks (2θ from 5° to 70°), most intense first:
- 28.6 deg, d 3.126, intensity 100, (1 0 5)
- 40.8 deg, d 2.210, intensity 76, (2 0 0)
- 66.9 deg, d 1.398, intensity 35, (3 0 5)
- 50.6 deg, d 1.805, intensity 27, (2 2 0)
- 59.1 deg, d 1.563, intensity 13, (0 4 0)
- 24.7 deg, d 3.610, intensity 3, (1 1 0)

Atomic structure:
Unit cell a=4.4226 b=6.2505 c=22.1013 alpha=90.00 beta=90.00 gamma=90.00
Space group Immm (No. 71)
Symmetry-distinct sites (fractional):
Tb (0.0000, 0.0000, 0.1009) x4
Tb (0.0000, 0.0000, 0.2982) x4
Ce (0.0000, 0.0000, 0.5000) x2
Sb (0.0000, 0.5000, 0.1016) x4
Sb (0.0000, 0.5000, 0.3002) x4
Sb (0.0000, 0.5000, 0.5000) x2


# Dy6Zn5Cu
Theoretical X-ray powder pattern, Cu Kα. Input: a GGA-PBE-relaxed structure.
Neutral-atom scattering factors, no anomalous dispersion.

The 6 most intense peaks (2θ from 5° to 70°), most intense first:
- 35.7 deg, d 2.513, intensity 100, (1 3 2)
- 64.3 deg, d 1.449, intensity 28, (3 3 2)
- 35.8 deg, d 2.506, intensity 20, (2 0 0)
- 25.1 deg, d 3.546, intensity 15, (1 3 0)
- 64.1 deg, d 1.453, intensity 14, (2 0 4)
- 51.6 deg, d 1.773, intensity 14, (2 6 0)

Atomic structure:
Unit cell a=5.0117 b=15.0517 c=7.1287 alpha=90.00 beta=90.00 gamma=90.00
Space group Cmmm (No. 65)
Symmetry-distinct sites (fractional):
Dy (0.0000, 0.0000, 0.2466) x4
Dy (0.0000, 0.3353, 0.2487) x8
Zn (0.0000, 0.1685, 0.5000) x4
Zn (0.0000, 0.1706, 0.0000) x4
Zn (0.0000, 0.5000, 0.5000) x2
Cu (0.0000, 0.5000, 0.0000) x2


# ErBe2Pt5
Theoretical X-ray powder pattern, Cu Kα. Input: a GGA-PBE-relaxed structure.
Neutral-atom scattering factors, no anomalous dispersion.

The 6 most intense peaks (2θ from 5° to 70°), most intense first:
- 36.3 deg, d 2.475, intensity 100, (1 0 3)
- 37.1 deg, d 2.423, intensity 96, (1 2 1)
- 68.5 deg, d 1.370, intensity 39, (2 2 4)
- 46.5 deg, d 1.952, intensity 37, (0 2 4)
- 32.9 deg, d 2.724, intensity 33, (0 2 2)
- 47.3 deg, d 1.923, intensity 27, (2 0 0)

Atomic structure:
Unit cell a=3.8467 b=6.5870 c=9.6969 alpha=90.00 beta=90.00 gamma=90.00
Space group Immm (No. 71)
Symmetry-distinct sites (fractional):
Er (0.0000, 0.0000, 0.0000) x2
Be (0.0000, 0.5000, 0.2319) x4
Pt (0.0000, 0.2100, 0.3512) x8
Pt (0.0000, 0.5000, 0.0000) x2


# KTl2Au3
Theoretical X-ray powder pattern, Cu Kα. Input: a GGA-PBE-relaxed structure.
Neutral-atom scattering factors, no anomalous dispersion.

The 6 most intense peaks (2θ from 5° to 70°), most intense first:
- 18.2 deg, d 4.865, intensity 100, (1 1 1)
- 37.3 deg, d 2.410, intensity 77, (3 1 2)
- 37.0 deg, d 2.432, intensity 62, (2 2 2)
- 30.8 deg, d 2.903, intensity 59, (2 0 2)
- 33.1 deg, d 2.709, intensity 46, (0 2 2)
- 42.1 deg, d 2.146, intensity 45, (5 1 0)

Atomic structure:
Unit cell a=11.0530 b=8.9114 c=6.8236 alpha=90.00 beta=90.00 gamma=90.00
Space group Cmcm (No. 63)
Symmetry-distinct sites (fractional):
K (0.0000, 0.1776, 0.2500) x4
Tl (0.2117, 0.5000, 0.0000) x8
Au (0.0000, 0.4412, 0.7500) x4
Au (0.1343, 0.1793, 0.7500) x8


# NaTm4NpS8
Theoretical X-ray powder pattern, Cu Kα. Input: a GGA-PBE-relaxed structure.
Neutral-atom scattering factors, no anomalous dispersion.

The 6 most intense peaks (2θ from 5° to 70°), most intense first:
- 26.0 deg, d 3.424, intensity 100, (1 1 3)
- 31.5 deg, d 2.842, intensity 69, (0 2 4)
- 13.5 deg, d 6.540, intensity 67, (1 0 1)
- 44.9 deg, d 2.020, intensity 54, (2 0 8)
- 45.4 deg, d 1.999, intensity 53, (2 2 0)
- 25.8 deg, d 3.451, intensity 49, (0 1 5)

Atomic structure:
Unit cell a=7.9953 b=7.9953 c=19.9047 alpha=90.00 beta=90.00 gamma=120.00
Space group R3m (No. 160, hexagonal axes)
Symmetry-distinct sites (fractional):
Na (0.0000, 0.0000, 0.0000) x3
Tm (0.0000, 0.0000, 0.2520) x3
Tm (0.1725, 0.3450, 0.4585) x9
Np (0.0000, 0.0000, 0.6292) x3
S (0.0000, 0.0000, 0.3842) x3
S (0.0000, 0.0000, 0.8647) x3
S (0.0283, 0.5142, 0.3821) x9
S (0.1747, 0.3494, 0.2042) x9


# Pa3Al2Zn4
Theoretical X-ray powder pattern, Cu Kα. Input: a GGA-PBE-relaxed structure.
Neutral-atom scattering factors, no anomalous dispersion.

The 6 most intense peaks (2θ from 5° to 70°), most intense first:
- 36.1 deg, d 2.485, intensity 100, (1 0 6)
- 22.1 deg, d 4.025, intensity 62, (1 0 0)
- 38.7 deg, d 2.324, intensity 61, (1 1 0)
- 54.0 deg, d 1.697, intensity 32, (2 0 6)
- 68.4 deg, d 1.371, intensity 32, (2 1 6)
- 45.0 deg, d 2.013, intensity 10, (2 0 0)

Atomic structure:
Unit cell a=4.6478 b=4.6478 c=18.9547 alpha=90.00 beta=90.00 gamma=120.00
Space group P-6m2 (No. 187)
Symmetry-distinct sites (fractional):
Pa (0.0000, 0.0000, 0.0774) x2
Pa (0.0000, 0.0000, 0.2542) x2
Pa (0.0000, 0.0000, 0.4115) x2
Al (0.3333, 0.6667, 0.5000) x1
Al (0.6667, 0.3333, 0.1660) x2
Al (0.6667, 0.3333, 0.5000) x1
Zn (0.3333, 0.6667, 0.0000) x1
Zn (0.3333, 0.6667, 0.1650) x2
Zn (0.3333, 0.6667, 0.3352) x2
Zn (0.6667, 0.3333, 0.0000) x1
Zn (0.6667, 0.3333, 0.3316) x2


# BiSb3F20
Theoretical X-ray powder pattern, Cu Kα. Input: a GGA-PBE-relaxed structure.
Neutral-atom scattering factors, no anomalous dispersion.

The 6 most intense peaks (2θ from 5° to 70°), most intense first:
- 21.6 deg, d 4.123, intensity 100, (2 2 0)
- 25.6 deg, d 3.479, intensity 56, (1 3 -1)
- 19.8 deg, d 4.492, intensity 50, (1 1 1)
- 16.0 deg, d 5.532, intensity 45, (0 0 1)
- 43.7 deg, d 2.070, intensity 39, (3 5 -1)
- 20.1 deg, d 4.412, intensity 29, (0 2 1)

Atomic structure:
Unit cell a=10.0030 b=14.6261 c=5.5420 alpha=90.00 beta=93.44 gamma=90.00
Space group C2 (No. 5)
Symmetry-distinct sites (fractional):
Bi (0.0000, 0.0000, 0.0000) x2
Sb (0.0000, 0.4098, 0.0000) x2
Sb (0.2451, 0.7104, 0.2383) x4
F (0.0951, 0.3931, 0.2997) x4
F (0.1075, 0.0258, 0.3085) x4
F (0.1161, 0.3018, 0.8907) x4
F (0.1198, 0.1201, 0.8755) x4
F (0.1235, 0.4919, 0.8782) x4
F (0.1295, 0.9167, 0.8500) x4
F (0.1375, 0.6152, 0.3448) x4
F (0.1425, 0.2143, 0.4756) x4
F (0.1428, 0.8115, 0.3292) x4
F (0.1705, 0.7098, 0.9183) x4